The following is a computed powder X-ray diffraction pattern of PmNd2I. It was derived from the PBE geometry in Alexandria, using λ = 1.5418 Å (Cu Kα).
Kinematic intensities with the Lorentz-polarization factor, no thermal factor.

Cell and atoms:
```
data_PmNd2I
_symmetry_space_group_name_H-M 'R 3 m'
_symmetry_Int_Tables_number 160
_symmetry_space_group_name_Hall 'R 3 -2"'
_cell_length_a 3.8495
_cell_length_b 3.8495
_cell_length_c 32.5191
_cell_angle_alpha 90.00
_cell_angle_beta 90.00
_cell_angle_gamma 120.00
loop_
_atom_site_label
_atom_site_fract_x
_atom_site_fract_y
_atom_site_fract_z
Pm1 0.0000 0.0000 0.0000
Nd1 0.0000 0.0000 0.5781
Nd2 0.0000 0.0000 0.7558
I1 0.0000 0.0000 0.1667
```

Principal peaks in the range 2θ from 10° to 80°, in order of rising 2θ:
2θ = 26.88°, I 10, hkl 1 0 1; 2θ = 27.31°, I 26, hkl 0 1 2; 2θ = 28.95°, I 15, hkl 1 0 4; 2θ = 30.12°, I 100, hkl 0 1 5; 2θ = 33.07°, I 91, hkl 0 0 12; 2θ = 38.68°, I 20, hkl 1 0 10; 2θ = 47.22°, I 38, hkl 1 1 0; 2θ = 55.38°, I 23, hkl 0 1 17; 2θ = 57.04°, I 16, hkl 2 0 5; 2θ = 58.85°, I 47, hkl 1 1 12; 2θ = 75.69°, I 10, hkl 2 0 17; 2θ = 77.10°, I 13, hkl 1 2 5

The following is a computed powder X-ray diffraction pattern of PmNdRuI. It was derived from the PBE geometry in Alexandria, using λ = 1.5418 Å (Cu Kα).
Kinematic intensities with the Lorentz-polarization factor, no thermal factor.

Cell and atoms:
```
data_PmNdRuI
_symmetry_space_group_name_H-M 'C 1 m 1'
_symmetry_Int_Tables_number 8
_cell_length_a 7.1669
_cell_length_b 4.1236
_cell_length_c 8.5268
_cell_angle_alpha 90.00
_cell_angle_beta 106.38
_cell_angle_gamma 90.00
loop_
_symmetry_equiv_pos_as_xyz
'x,y,z'
'x,-y,z'
'x+1/2,y+1/2,z'
'x+1/2,-y+1/2,z'
loop_
_atom_site_label
_atom_site_fract_x
_atom_site_fract_y
_atom_site_fract_z
Pm1 0.0000 0.0000 0.0000
Nd1 0.2898 0.5000 0.3718
Ru1 0.3943 0.0000 0.1843
I1 0.0631 0.5000 0.6897
```

Principal peaks in the range 2θ from 10° to 80°, in order of rising 2θ:
2θ = 10.81°, I 15, hkl 0 0 1; 2θ = 25.16°, I 12, hkl 1 1 0; 2θ = 25.94°, I 18, hkl 1 1 -1; 2θ = 28.89°, I 30, hkl 1 1 1; 2θ = 30.93°, I 100, hkl 2 0 1; 2θ = 32.84°, I 11, hkl 0 0 3; 2θ = 35.86°, I 15, hkl 2 0 -3; 2θ = 43.79°, I 31, hkl 3 1 -1; 2θ = 43.91°, I 15, hkl 0 2 0; 2θ = 44.78°, I 20, hkl 1 1 3; 2θ = 54.67°, I 13, hkl 2 2 1; 2θ = 72.46°, I 11, hkl 5 1 0

The following is a computed powder X-ray diffraction pattern of Pr2NdI. It was derived from the PBE geometry in Alexandria, using λ = 1.5418 Å (Cu Kα).
Kinematic intensities with the Lorentz-polarization factor, no thermal factor.

Cell and atoms:
```
data_Pr2NdI
_symmetry_space_group_name_H-M 'R 3 m'
_symmetry_Int_Tables_number 160
_symmetry_space_group_name_Hall 'R 3 -2"'
_cell_length_a 3.8740
_cell_length_b 3.8740
_cell_length_c 32.8493
_cell_angle_alpha 90.00
_cell_angle_beta 90.00
_cell_angle_gamma 120.00
loop_
_atom_site_label
_atom_site_fract_x
_atom_site_fract_y
_atom_site_fract_z
Pr1 0.0000 0.0000 0.0000
Pr2 0.0000 0.0000 0.1781
Nd1 0.0000 0.0000 0.7560
I1 0.0000 0.0000 0.5893
```

Principal peaks in the range 2θ from 10° to 80°, in order of rising 2θ:
2θ = 27.13°, I 26, hkl 0 1 2; 2θ = 28.74°, I 14, hkl 1 0 4; 2θ = 29.90°, I 100, hkl 0 1 5; 2θ = 32.71°, I 31, hkl 0 0 12; 2θ = 32.82°, I 59, hkl 1 0 7; 2θ = 38.35°, I 20, hkl 1 0 10; 2θ = 46.91°, I 38, hkl 1 1 0; 2θ = 54.82°, I 21, hkl 0 1 17; 2θ = 56.63°, I 16, hkl 2 0 5; 2θ = 58.38°, I 47, hkl 1 1 12; 2θ = 76.51°, I 13, hkl 1 2 5; 2θ = 78.07°, I 11, hkl 2 1 7

The following is a computed powder X-ray diffraction pattern of Nd3PtI7. It was derived from the PBE geometry in Alexandria, using λ = 1.5418 Å (Cu Kα).
Kinematic intensities with the Lorentz-polarization factor, no thermal factor.

Cell and atoms:
```
data_Nd3PtI7
_symmetry_space_group_name_H-M 'P 3 m 1'
_symmetry_Int_Tables_number 156
_cell_length_a 8.8641
_cell_length_b 8.8641
_cell_length_c 7.4978
_cell_angle_alpha 90.00
_cell_angle_beta 90.00
_cell_angle_gamma 120.00
loop_
_symmetry_equiv_pos_as_xyz
'x,y,z'
'-y,x-y,z'
'-x+y,-x,z'
'-y,-x,z'
'-x+y,y,z'
'x,x-y,z'
loop_
_atom_site_label
_atom_site_fract_x
_atom_site_fract_y
_atom_site_fract_z
Nd1 0.0231 0.5115 0.0000
Pt1 0.3333 0.6667 0.7962
I1 0.1678 0.3356 0.2586
I2 0.3349 0.1675 0.7704
I3 0.6667 0.3333 0.2460
```

Principal peaks in the range 2θ from 10° to 80°, in order of rising 2θ:
2θ = 11.53°, I 14, hkl 1 0 0; 2θ = 11.80°, I 28, hkl 0 0 1; 2θ = 16.53°, I 11, hkl 0 1 1; 2θ = 26.08°, I 100, hkl 0 2 1; 2θ = 33.41°, I 48, hkl 0 2 2; 2θ = 40.72°, I 33, hkl 2 2 0; 2θ = 43.20°, I 28, hkl 2 0 3; 2θ = 48.99°, I 17, hkl 4 0 1; 2θ = 53.65°, I 12, hkl 4 0 2; 2θ = 65.19°, I 14, hkl 2 2 4; 2θ = 65.54°, I 14, hkl 2 4 1; 2θ = 69.47°, I 10, hkl 2 4 2

The following is a computed powder X-ray diffraction pattern of Nd4Pt2I5. It was derived from the PBE geometry in Alexandria, using λ = 1.5418 Å (Cu Kα).
Kinematic intensities with the Lorentz-polarization factor, no thermal factor.

Cell and atoms:
```
data_Nd4Pt2I5
_symmetry_space_group_name_H-M 'C 1 2/m 1'
_symmetry_Int_Tables_number 12
_cell_length_a 24.9894
_cell_length_b 4.1284
_cell_length_c 8.7365
_cell_angle_alpha 90.00
_cell_angle_beta 90.35
_cell_angle_gamma 90.00
loop_
_symmetry_equiv_pos_as_xyz
'x,y,z'
'-x,-y,-z'
'-x,y,-z'
'x,-y,z'
'x+1/2,y+1/2,z'
'-x+1/2,-y+1/2,-z'
'-x+1/2,y+1/2,-z'
'x+1/2,-y+1/2,z'
loop_
_atom_site_label
_atom_site_fract_x
_atom_site_fract_y
_atom_site_fract_z
Nd1 0.0155 0.0000 0.3036
Nd2 0.1598 0.5000 0.4574
Pt1 0.0539 0.5000 0.5240
I1 0.0000 0.5000 0.0000
I2 0.1434 0.0000 0.1803
I3 0.2123 0.0000 0.6921
```

Principal peaks in the range 2θ from 10° to 80°, in order of rising 2θ:
2θ = 10.13°, I 100, hkl 0 0 1; 2θ = 12.39°, I 17, hkl 2 0 1; 2θ = 21.33°, I 19, hkl 6 0 0; 2θ = 24.11°, I 19, hkl 1 1 1; 2θ = 26.19°, I 34, hkl 3 1 1; 2θ = 30.01°, I 98, hkl 1 1 2; 2θ = 30.33°, I 31, hkl 8 0 -1; 2θ = 34.05°, I 23, hkl 4 0 3; 2θ = 34.81°, I 29, hkl 5 1 -2; 2θ = 39.10°, I 18, hkl 9 1 0; 2θ = 40.54°, I 42, hkl 9 1 1; 2θ = 43.85°, I 29, hkl 0 2 0

The following is a computed powder X-ray diffraction pattern of Nd4Pt2I5. It was derived from the PBE geometry in Alexandria, using λ = 1.5418 Å (Cu Kα).
Kinematic intensities with the Lorentz-polarization factor, no thermal factor.

Cell and atoms:
```
data_Nd4Pt2I5
_symmetry_space_group_name_H-M 'I m m m'
_symmetry_Int_Tables_number 71
_symmetry_space_group_name_Hall '-I 2 2'
_cell_length_a 4.1199
_cell_length_b 8.8131
_cell_length_c 28.6715
_cell_angle_alpha 90.00
_cell_angle_beta 90.00
_cell_angle_gamma 90.00
loop_
_atom_site_label
_atom_site_fract_x
_atom_site_fract_y
_atom_site_fract_z
Nd1 0.0000 0.0000 0.1428
Nd2 0.0000 0.3057 0.5000
Pt1 0.0000 0.0000 0.0472
I1 0.0000 0.2521 0.3268
I2 0.0000 0.5000 0.0000
```

Principal peaks in the range 2θ from 10° to 80°, in order of rising 2θ:
2θ = 10.50°, I 100, hkl 0 1 1; 2θ = 18.57°, I 54, hkl 0 0 6; 2θ = 21.09°, I 16, hkl 0 2 2; 2θ = 26.64°, I 13, hkl 1 0 5; 2θ = 29.85°, I 91, hkl 1 2 1; 2θ = 33.63°, I 21, hkl 1 2 5; 2θ = 37.07°, I 12, hkl 1 2 7; 2θ = 37.62°, I 15, hkl 1 3 0; 2θ = 39.64°, I 23, hkl 1 1 10; 2θ = 40.97°, I 34, hkl 0 4 0; 2θ = 43.95°, I 15, hkl 2 0 0; 2θ = 45.32°, I 12, hkl 0 4 6